1.
Starting from a crystal structure in Alexandria, relaxed with PBE, the powder diffraction line list of Ho2Tm5Pu was simulated for Cu Kα (weighted mean of Kα1 and Kα2).
Intensities are scaled so that the largest is 100.

Structure:
```
data_Ho2Tm5Pu
_chemical_formula_sum 'Ho4 Tm10 Pu2'
_cell_length_a 6.956
_cell_length_b 6.956
_cell_length_c 9.821
_cell_angle_alpha 90.00
_cell_angle_beta 90.00
_cell_angle_gamma 90.00
_space_group_name_H-M_alt 'I 4/m m m'
_space_group_IT_number 139
_space_group_name_Hall '-I 4 2'
loop_
_atom_site_label
_atom_site_fract_x
_atom_site_fract_y
_atom_site_fract_z
Ho1 0.000 0.500 0.000
Tm1 0.000 0.000 0.000
Tm2 0.250 0.250 0.250
Pu1 0.000 0.000 0.500
```

Largest 12 diffraction maxima, low angle first, 2θ from 10° to 90°:
2θ = 15.61°, rel. 1.1, (1 0 1)
2θ = 30.15°, rel. 0.7, (2 1 1)
2θ = 31.52°, rel. 100.0, (2 0 2)
2θ = 36.56°, rel. 50.6, (2 2 0)
2θ = 52.66°, rel. 36.0, (4 0 0)
2θ = 62.68°, rel. 42.7, (4 2 2)
2θ = 65.81°, rel. 12.3, (4 0 4)
2θ = 77.65°, rel. 3.9, (4 4 0)
2θ = 77.80°, rel. 1.9, (0 0 8)
2θ = 86.25°, rel. 18.2, (6 0 2)
2θ = 89.02°, rel. 11.4, (6 2 0)
2θ = 89.15°, rel. 5.7, (2 2 8)

---

2.
Starting from a crystal structure in Alexandria, relaxed with PBE, the powder diffraction line list of HoTm4Pu was simulated for Cu Kα (weighted mean of Kα1 and Kα2).
Intensities are scaled so that the largest is 100.

Structure:
```
data_HoTm4Pu
_chemical_formula_sum 'Ho4 Tm16 Pu4'
_cell_length_a 3.484
_cell_length_b 18.101
_cell_length_c 11.258
_cell_angle_alpha 90.00
_cell_angle_beta 90.00
_cell_angle_gamma 90.00
_space_group_name_H-M_alt 'C m c 21'
_space_group_IT_number 36
_space_group_name_Hall 'C 2c -2'
loop_
_atom_site_label
_atom_site_fract_x
_atom_site_fract_y
_atom_site_fract_z
Ho1 0.000 0.222 0.000
Tm1 0.000 0.001 0.755
Tm2 0.000 0.111 0.506
Tm3 0.000 0.333 0.753
Tm4 0.000 0.444 0.503
Pu1 0.000 0.334 0.252
```

Largest 12 diffraction maxima, low angle first, 2θ from 10° to 90°:
2θ = 29.61°, rel. 10.7, (0 6 0)
2θ = 30.68°, rel. 35.8, (0 6 1)
2θ = 31.79°, rel. 33.0, (0 0 4)
2θ = 33.71°, rel. 100.0, (1 3 2)
2θ = 38.28°, rel. 19.7, (0 6 3)
2θ = 50.58°, rel. 8.9, (0 6 5)
2θ = 52.54°, rel. 24.5, (2 0 0)
2θ = 57.87°, rel. 21.6, (1 3 6)
2θ = 62.73°, rel. 28.8, (2 0 4)
2θ = 63.89°, rel. 16.3, (0 12 2)
2θ = 87.23°, rel. 14.3, (2 12 2)
2θ = 89.54°, rel. 11.4, (2 0 8)

---

3.
Starting from a crystal structure in Alexandria, relaxed with PBE, the powder diffraction line list of HoTm3Pu was simulated for Cu Kα (weighted mean of Kα1 and Kα2).
Intensities are scaled so that the largest is 100.

Structure:
```
data_HoTm3Pu
_chemical_formula_sum 'Ho4 Tm12 Pu4'
_cell_length_a 5.338
_cell_length_b 6.841
_cell_length_c 16.270
_cell_angle_alpha 90.00
_cell_angle_beta 90.00
_cell_angle_gamma 90.00
_space_group_name_H-M_alt 'I m m m'
_space_group_IT_number 71
_space_group_name_Hall '-I 2 2'
loop_
_atom_site_label
_atom_site_fract_x
_atom_site_fract_y
_atom_site_fract_z
Ho1 0.000 0.000 0.108
Tm1 0.000 0.250 0.302
Tm2 0.000 0.500 0.108
Pu1 0.000 0.248 0.500
```

Largest 12 diffraction maxima, low angle first, 2θ from 10° to 90°:
2θ = 31.55°, rel. 95.4, (1 2 1)
2θ = 32.22°, rel. 100.0, (1 0 5)
2θ = 33.58°, rel. 46.0, (2 0 0)
2θ = 34.25°, rel. 42.3, (0 2 4)
2θ = 42.54°, rel. 18.2, (0 2 6)
2θ = 48.72°, rel. 31.9, (2 2 4)
2θ = 55.26°, rel. 17.1, (2 2 6)
2θ = 58.77°, rel. 16.7, (3 2 1)
2θ = 59.19°, rel. 18.5, (3 0 5)
2θ = 60.46°, rel. 17.3, (1 2 9)
2θ = 63.92°, rel. 28.6, (1 4 5)
2θ = 80.84°, rel. 15.1, (3 2 9)

---

4.
Starting from a crystal structure in Alexandria, relaxed with PBE, the powder diffraction line list of Ho3TmPu was simulated for Cu Kα (weighted mean of Kα1 and Kα2).
Intensities are scaled so that the largest is 100.

Structure:
```
data_Ho3TmPu
_chemical_formula_sum 'Ho12 Tm4 Pu4'
_cell_length_a 5.362
_cell_length_b 6.876
_cell_length_c 17.191
_cell_angle_alpha 90.00
_cell_angle_beta 108.13
_cell_angle_gamma 90.00
_space_group_name_H-M_alt 'P 1 21/c 1'
_space_group_IT_number 14
_space_group_name_Hall '-P 2ybc'
loop_
_atom_site_label
_atom_site_fract_x
_atom_site_fract_y
_atom_site_fract_z
Ho1 0.107 0.001 0.107
Ho2 0.302 0.250 0.302
Ho3 0.302 0.749 0.802
Tm1 0.108 0.501 0.107
Pu1 0.500 0.248 0.500
```

Largest 12 diffraction maxima, low angle first, 2θ from 10° to 90°:
2θ = 31.39°, rel. 96.7, (1 2 -2)
2θ = 32.08°, rel. 100.0, (1 0 4)
2θ = 33.42°, rel. 45.8, (2 0 -2)
2θ = 34.09°, rel. 42.1, (0 2 4)
2θ = 42.34°, rel. 19.0, (0 2 6)
2θ = 48.49°, rel. 31.8, (2 2 2)
2θ = 54.99°, rel. 17.9, (2 2 -8)
2θ = 58.47°, rel. 16.9, (3 2 -4)
2θ = 58.90°, rel. 18.6, (3 0 2)
2θ = 60.17°, rel. 17.2, (1 2 8)
2θ = 63.58°, rel. 28.6, (1 4 4)
2θ = 80.41°, rel. 15.0, (3 2 6)

---

5.
Starting from a crystal structure in Alexandria, relaxed with PBE, the powder diffraction line list of Ho7Tm4Pu was simulated for Cu Kα (weighted mean of Kα1 and Kα2).
Intensities are scaled so that the largest is 100.

Structure:
```
data_Ho7Tm4Pu
_chemical_formula_sum 'Ho14 Tm8 Pu2'
_cell_length_a 16.248
_cell_length_b 5.758
_cell_length_c 9.314
_cell_angle_alpha 90.00
_cell_angle_beta 120.88
_cell_angle_gamma 90.00
_space_group_name_H-M_alt 'C 1 2/m 1'
_space_group_IT_number 12
_space_group_name_Hall '-C 2y'
loop_
_atom_site_label
_atom_site_fract_x
_atom_site_fract_y
_atom_site_fract_z
Ho1 0.000 0.000 0.000
Ho2 0.061 0.500 0.719
Ho3 0.168 0.500 0.342
Ho4 0.208 0.000 0.881
Tm1 0.089 0.000 0.452
Tm2 0.237 0.000 0.265
Pu1 0.000 0.500 0.000
```

Largest 12 diffraction maxima, low angle first, 2θ from 10° to 90°:
2θ = 29.99°, rel. 32.8, (4 0 -3)
2θ = 30.49°, rel. 28.3, (1 1 2)
2θ = 30.97°, rel. 50.2, (2 0 2)
2θ = 31.07°, rel. 100.0, (0 2 0)
2θ = 32.06°, rel. 79.4, (5 1 -1)
2θ = 32.18°, rel. 47.1, (5 1 -2)
2θ = 32.86°, rel. 56.3, (4 0 1)
2θ = 34.57°, rel. 51.3, (1 1 -3)
2θ = 43.72°, rel. 29.5, (4 2 -3)
2θ = 44.44°, rel. 25.6, (2 2 2)
2θ = 45.88°, rel. 29.1, (4 2 1)
2θ = 55.93°, rel. 28.6, (5 3 -1)

---

6.
Starting from a crystal structure in Alexandria, relaxed with PBE, the powder diffraction line list of Y6Ho3Tm2Pu was simulated for Cu Kα (weighted mean of Kα1 and Kα2).
Intensities are scaled so that the largest is 100.

Structure:
```
data_Y6Ho3Tm2Pu
_chemical_formula_sum 'Y12 Ho6 Tm4 Pu2'
_cell_length_a 6.121
_cell_length_b 10.600
_cell_length_c 11.684
_cell_angle_alpha 90.00
_cell_angle_beta 100.05
_cell_angle_gamma 90.00
_space_group_name_H-M_alt 'C 1 2/m 1'
_space_group_IT_number 12
_space_group_name_Hall '-C 2y'
loop_
_atom_site_label
_atom_site_fract_x
_atom_site_fract_y
_atom_site_fract_z
Y1 0.247 0.165 0.248
Y2 0.248 0.000 0.752
Ho1 0.000 0.167 0.500
Ho2 0.000 0.500 0.500
Tm1 0.000 0.333 0.000
Pu1 0.000 0.000 0.000
```

Largest 12 diffraction maxima, low angle first, 2θ from 10° to 90°:
2θ = 15.40°, rel. 16.8, (0 0 2)
2θ = 29.65°, rel. 11.2, (2 0 0)
2θ = 31.01°, rel. 100.0, (1 3 1)
2θ = 31.10°, rel. 33.0, (0 0 4)
2θ = 35.98°, rel. 67.0, (2 0 2)
2θ = 51.74°, rel. 23.7, (0 6 0)
2θ = 51.86°, rel. 23.5, (1 3 5)
2θ = 61.59°, rel. 41.9, (4 0 0)
2θ = 61.71°, rel. 13.9, (2 0 6)
2θ = 64.63°, rel. 12.1, (2 6 2)
2θ = 84.52°, rel. 11.6, (4 6 0)
2θ = 87.27°, rel. 10.9, (5 3 1)

---

7.
Starting from a crystal structure in Alexandria, relaxed with PBE, the powder diffraction line list of Y6HoPu was simulated for Cu Kα (weighted mean of Kα1 and Kα2).
Intensities are scaled so that the largest is 100.

Structure:
```
data_Y6HoPu
_chemical_formula_sum 'Y12 Ho2 Pu2'
_cell_length_a 4.980
_cell_length_b 10.063
_cell_length_c 10.070
_cell_angle_alpha 90.00
_cell_angle_beta 90.00
_cell_angle_gamma 90.00
_space_group_name_H-M_alt 'A m m 2'
_space_group_IT_number 38
_space_group_name_Hall 'A 2 -2'
loop_
_atom_site_label
_atom_site_fract_x
_atom_site_fract_y
_atom_site_fract_z
Y1 0.000 0.000 0.000
Y2 0.000 0.247 0.753
Y3 0.500 0.000 0.254
Y4 0.500 0.249 0.504
Ho1 0.000 0.000 0.507
Pu1 0.500 0.000 0.753
```

Largest 12 diffraction maxima, low angle first, 2θ from 10° to 90°:
2θ = 12.44°, rel. 12.4, (0 1 1)
2θ = 21.78°, rel. 5.7, (1 1 1)
2θ = 30.88°, rel. 100.0, (1 2 2)
2θ = 35.68°, rel. 33.8, (0 4 0)
2θ = 36.07°, rel. 16.4, (2 0 0)
2θ = 51.35°, rel. 11.9, (0 4 4)
2θ = 51.64°, rel. 23.4, (2 4 0)
2θ = 61.13°, rel. 27.9, (1 6 2)
2θ = 61.66°, rel. 13.6, (3 2 2)
2θ = 64.35°, rel. 11.9, (2 4 4)
2θ = 83.83°, rel. 5.7, (1 6 6)
2θ = 84.30°, rel. 11.3, (3 6 2)

---

8.
Starting from a crystal structure in Alexandria, relaxed with PBE, the powder diffraction line list of Y6Ho5Pu was simulated for Cu Kα (weighted mean of Kα1 and Kα2).
Intensities are scaled so that the largest is 100.

Structure:
```
data_Y6Ho5Pu
_chemical_formula_sum 'Y12 Ho10 Pu2'
_cell_length_a 5.003
_cell_length_b 15.000
_cell_length_c 10.012
_cell_angle_alpha 90.00
_cell_angle_beta 90.00
_cell_angle_gamma 90.00
_space_group_name_H-M_alt 'C m m m'
_space_group_IT_number 65
_space_group_name_Hall '-C 2 2'
loop_
_atom_site_label
_atom_site_fract_x
_atom_site_fract_y
_atom_site_fract_z
Y1 0.000 0.000 0.248
Y2 0.000 0.335 0.248
Ho1 0.000 0.165 0.000
Ho2 0.000 0.167 0.500
Ho3 0.000 0.500 0.500
Pu1 0.000 0.500 0.000
```

Largest 12 diffraction maxima, low angle first, 2θ from 10° to 90°:
2θ = 17.72°, rel. 9.0, (0 0 2)
2θ = 25.18°, rel. 8.1, (1 3 0)
2θ = 30.96°, rel. 100.0, (1 3 2)
2θ = 35.90°, rel. 50.4, (2 0 0)
2θ = 40.31°, rel. 5.0, (2 0 2)
2θ = 44.34°, rel. 3.9, (1 3 4)
2θ = 51.68°, rel. 35.5, (2 6 0)
2θ = 61.47°, rel. 42.0, (3 3 2)
2θ = 64.52°, rel. 12.1, (2 6 4)
2θ = 76.07°, rel. 3.8, (4 0 0)
2θ = 84.39°, rel. 17.3, (3 9 2)
2θ = 87.12°, rel. 16.2, (4 6 0)

---

9.
Starting from a crystal structure in Alexandria, relaxed with PBE, the powder diffraction line list of Y8Ho4Pu was simulated for Cu Kα (weighted mean of Kα1 and Kα2).
Intensities are scaled so that the largest is 100.

Structure:
```
data_Y8Ho4Pu
_chemical_formula_sum 'Y24 Ho12 Pu3'
_cell_length_a 10.9483
_cell_length_b 10.9483
_cell_length_c 13.3743
_cell_angle_alpha 90.00
_cell_angle_beta 90.00
_cell_angle_gamma 120.00
_space_group_name_H-M_alt 'R -3 m'
_space_group_IT_number 166
_space_group_name_Hall '-R 3 2"'
loop_
_atom_site_label
_atom_site_fract_x
_atom_site_fract_y
_atom_site_fract_z
Y1 0.0000 0.0000 0.2448
Y2 0.0068 0.5034 0.7478
Ho1 0.0000 0.0000 0.0000
Ho2 0.0000 0.5000 0.0000
Pu1 0.0000 0.0000 0.5000
```

Largest 12 diffraction maxima, low angle first, 2θ from 10° to 90°:
2θ = 11.44°, rel. 9.5, (1 0 1)
2θ = 16.21°, rel. 11.3, (1 1 0)
2θ = 19.88°, rel. 15.7, (0 0 3)
2θ = 25.75°, rel. 9.4, (1 1 3)
2θ = 28.26°, rel. 6.1, (3 0 0)
2θ = 32.75°, rel. 100.0, (2 2 0)
2θ = 38.61°, rel. 8.6, (2 2 3)
2θ = 46.99°, rel. 18.1, (4 0 4)
2θ = 58.42°, rel. 28.1, (6 0 0)
2θ = 58.55°, rel. 9.3, (2 0 8)
2θ = 68.57°, rel. 5.7, (4 4 0)
2θ = 78.15°, rel. 15.8, (6 2 4)

---

10.
Starting from a crystal structure in Alexandria, relaxed with PBE, the powder diffraction line list of YHoPu4 was simulated for Cu Kα (weighted mean of Kα1 and Kα2).
Intensities are scaled so that the largest is 100.

Structure:
```
data_YHoPu4
_chemical_formula_sum 'Y4 Ho4 Pu16'
_cell_length_a 8.725
_cell_length_b 8.725
_cell_length_c 8.725
_cell_angle_alpha 90.00
_cell_angle_beta 90.00
_cell_angle_gamma 90.00
_space_group_name_H-M_alt 'F -4 3 m'
_space_group_IT_number 216
_space_group_name_Hall 'F -4 2 3'
loop_
_atom_site_label
_atom_site_fract_x
_atom_site_fract_y
_atom_site_fract_z
Y1 0.000 0.000 0.000
Ho1 0.250 0.250 0.250
Pu1 0.125 0.125 0.625
```

Largest 12 diffraction maxima, low angle first, 2θ from 10° to 90°:
2θ = 17.61°, rel. 32.5, (1 1 1)
2θ = 28.95°, rel. 11.8, (2 2 0)
2θ = 34.08°, rel. 100.0, (3 1 1)
2θ = 35.65°, rel. 61.9, (2 2 2)
2θ = 41.40°, rel. 16.5, (4 0 0)
2θ = 45.31°, rel. 9.5, (3 3 1)
2θ = 54.66°, rel. 35.5, (5 1 1)
2θ = 59.98°, rel. 34.0, (4 4 0)
2θ = 63.03°, rel. 7.5, (5 3 1)
2θ = 70.82°, rel. 12.4, (5 3 3)
2θ = 71.76°, rel. 25.5, (6 2 2)
2θ = 85.49°, rel. 23.3, (7 3 1)

---

11.
Starting from a crystal structure in Alexandria, relaxed with PBE, the powder diffraction line list of Y4Ho5Pu was simulated for Cu Kα (weighted mean of Kα1 and Kα2).
Intensities are scaled so that the largest is 100.

Structure:
```
data_Y4Ho5Pu
_chemical_formula_sum 'Y8 Ho10 Pu2'
_cell_length_a 16.731
_cell_length_b 3.493
_cell_length_c 11.303
_cell_angle_alpha 90.00
_cell_angle_beta 108.85
_cell_angle_gamma 90.00
_space_group_name_H-M_alt 'C 1 2/m 1'
_space_group_IT_number 12
_space_group_name_Hall '-C 2y'
loop_
_atom_site_label
_atom_site_fract_x
_atom_site_fract_y
_atom_site_fract_z
Y1 0.085 0.000 0.292
Y2 0.106 0.500 0.798
Ho1 0.000 0.500 0.500
Ho2 0.189 0.000 0.078
Ho3 0.211 0.000 0.615
Pu1 0.000 0.500 0.000
```

Largest 12 diffraction maxima, low angle first, 2θ from 10° to 90°:
2θ = 30.69°, rel. 48.4, (3 1 0)
2θ = 31.67°, rel. 57.9, (2 0 -4)
2θ = 32.14°, rel. 100.0, (4 0 2)
2θ = 32.26°, rel. 59.9, (3 1 -2)
2θ = 32.63°, rel. 53.6, (6 0 -2)
2θ = 33.29°, rel. 17.8, (3 1 1)
2θ = 44.48°, rel. 16.4, (1 1 4)
2θ = 47.91°, rel. 19.4, (7 1 0)
2θ = 58.23°, rel. 15.5, (10 0 0)
2θ = 62.52°, rel. 17.2, (2 2 -4)
2θ = 62.83°, rel. 15.5, (4 2 2)
2θ = 63.09°, rel. 16.1, (6 2 -2)

---

12.
Starting from a crystal structure in Alexandria, relaxed with PBE, the powder diffraction line list of Y2Ho5Pu was simulated for Cu Kα (weighted mean of Kα1 and Kα2).
Intensities are scaled so that the largest is 100.

Structure:
```
data_Y2Ho5Pu
_chemical_formula_sum 'Y4 Ho10 Pu2'
_cell_length_a 6.303
_cell_length_b 6.764
_cell_length_c 11.819
_cell_angle_alpha 83.47
_cell_angle_beta 83.63
_cell_angle_gamma 89.92
_space_group_name_H-M_alt 'P -1'
_space_group_IT_number 2
_space_group_name_Hall '-P 1'
loop_
_atom_site_label
_atom_site_fract_x
_atom_site_fract_y
_atom_site_fract_z
Y1 0.000 0.000 0.000
Y2 0.000 0.000 0.500
Y3 0.000 0.500 0.000
Y4 0.500 0.000 0.500
Ho1 0.130 0.715 0.255
Ho2 0.134 0.223 0.243
Ho3 0.248 0.465 0.508
Ho4 0.358 0.060 0.764
Ho5 0.496 0.747 0.003
Pu1 0.386 0.565 0.752
```

Largest 12 diffraction maxima, low angle first, 2θ from 10° to 90°:
2θ = 28.47°, rel. 17.3, (0 2 -1)
2θ = 30.36°, rel. 76.1, (2 0 -1)
2θ = 30.65°, rel. 100.0, (0 0 4)
2θ = 31.39°, rel. 67.1, (1 -2 1)
2θ = 31.86°, rel. 57.1, (1 2 2)
2θ = 33.15°, rel. 21.7, (0 2 3)
2θ = 34.71°, rel. 48.2, (2 0 3)
2θ = 36.19°, rel. 41.1, (1 2 -2)
2θ = 37.15°, rel. 36.3, (-1 2 3)
2θ = 51.20°, rel. 29.9, (3 -2 0)
2θ = 59.87°, rel. 20.3, (3 -2 4)
2θ = 63.14°, rel. 17.9, (4 0 -2)

---

13.
Starting from a crystal structure in Alexandria, relaxed with PBE, the powder diffraction line list of HoPuZn10 was simulated for Cu Kα (weighted mean of Kα1 and Kα2).
Intensities are scaled so that the largest is 100.

Structure:
```
data_HoPuZn10
_chemical_formula_sum 'Ho1 Pu1 Zn10'
_cell_length_a 4.242
_cell_length_b 5.311
_cell_length_c 9.215
_cell_angle_alpha 90.00
_cell_angle_beta 90.00
_cell_angle_gamma 90.00
_space_group_name_H-M_alt 'P m m m'
_space_group_IT_number 47
_space_group_name_Hall '-P 2 2'
loop_
_atom_site_label
_atom_site_fract_x
_atom_site_fract_y
_atom_site_fract_z
Ho1 0.000 0.000 0.000
Pu1 0.000 0.500 0.500
Zn1 0.000 0.000 0.331
Zn2 0.000 0.500 0.164
Zn3 0.500 0.000 0.500
Zn4 0.500 0.250 0.249
Zn5 0.500 0.500 0.000
```

Largest 12 diffraction maxima, low angle first, 2θ from 10° to 90°:
2θ = 28.62°, rel. 56.1, (1 0 2)
2θ = 33.72°, rel. 34.1, (0 2 0)
2θ = 39.14°, rel. 36.5, (0 2 2)
2θ = 40.03°, rel. 100.0, (1 2 0)
2θ = 42.63°, rel. 25.2, (2 0 0)
2θ = 55.42°, rel. 16.6, (2 2 0)
2θ = 57.23°, rel. 16.6, (1 1 5)
2θ = 59.24°, rel. 21.4, (2 2 2)
2θ = 64.59°, rel. 23.7, (1 3 3)
2θ = 70.88°, rel. 10.6, (0 2 6)
2θ = 76.28°, rel. 14.5, (3 2 0)
2θ = 86.37°, rel. 12.6, (2 2 6)